Simulated powder diffractogram
Compound: LiV6O7F5
Radiation: λ = 1.5418 Å (Cu Kα)
Structure: a structure optimized by DFT (PBE+U)

Principal peaks in the range 10 to 90 degrees two-theta, most intense first:
2θ/deg, I (rel.), index
31.09, 100, 0 2 -1
31.24, 86, 1 0 -2
32.46, 83, 2 -1 0
31.91, 59, 1 1 1
15.13, 45, 0 1 0
51.71, 39, 1 2 -3
52.99, 37, 2 -3 1
53.49, 35, -3 1 2
44.31, 35, 1 2 1
54.39, 30, 3 0 1

```
data_LiV6O7F5
_cell_length_a 5.840
_cell_length_b 6.067
_cell_length_c 6.102
_cell_angle_alpha 100.39
_cell_angle_beta 100.32
_cell_angle_gamma 99.06
_space_group_name_H-M_alt 'P 1'
_space_group_IT_number 1
_space_group_name_Hall 'P 1'
loop_
_atom_site_label
_atom_site_type_symbol
_atom_site_fract_x
_atom_site_fract_y
_atom_site_fract_z
Li1 Li 0.000 0.000 0.000
V1 V 0.159 0.362 0.606
V2 V 0.311 0.632 0.138
V3 V 0.410 0.874 0.664
V4 V 0.606 0.182 0.340
V5 V 0.695 0.433 0.870
V6 V 0.859 0.686 0.382
O1 O 0.193 0.597 0.425
O2 O 0.424 0.200 0.586
O3 O 0.429 0.615 0.829
O4 O 0.574 0.437 0.178
O5 O 0.586 0.852 0.412
O6 O 0.830 0.451 0.587
O7 O 0.941 0.681 0.077
F1 F 0.068 0.921 0.672
F2 F 0.105 0.325 0.925
F3 F 0.331 0.973 0.094
F4 F 0.691 0.086 0.900
F5 F 0.944 0.131 0.318
```